Diffraction record for V2PdRh2. The X-ray powder pattern is simulated, not measured: it uses a crystal structure in Alexandria, relaxed with PBE and Cu Kα (weighted mean of Kα1 and Kα2).
Lines closer than 0.1° are merged.

Principal peaks in the range 2θ from 15° to 90°, in order of rising 2θ:
Position (°2θ), I (rel.)
22.11, 9
25.40, 10
39.80, 37
41.86, 100
42.96, 64
59.17, 22
75.23, 10
76.49, 10
77.27, 11
84.32, 17

Crystal structure
```
data_V2PdRh2
_symmetry_space_group_name_H-M 'P m m n'
_symmetry_Int_Tables_number 59
_cell_length_a 2.741
_cell_length_b 4.311
_cell_length_c 12.062
_cell_angle_alpha 90.00
_cell_angle_beta 90.00
_cell_angle_gamma 90.00
loop_
_symmetry_equiv_pos_as_xyz
'x,y,z'
'-x,-y,-z'
'-x+1/2,-y+1/2,z'
'x+1/2,y+1/2,-z'
'x+1/2,-y,-z'
'-x+1/2,y,z'
'-x,y+1/2,-z'
'x,-y+1/2,z'
loop_
_atom_site_label
_atom_site_type_symbol
_atom_site_fract_x
_atom_site_fract_y
_atom_site_fract_z
V1 V 0.250 0.250 0.050
V2 V 0.250 0.750 0.352
Pd1 Pd 0.250 0.750 0.747
Rh1 Rh 0.250 0.250 0.461
Rh2 Rh 0.250 0.750 0.144
```